Simulated powder X-ray diffraction pattern of LiBr3F12 for Cu Kα (weighted mean of Kα1 and Kα2), from a structure optimized by DFT (GGA-PBE).
Intensities are scaled so that the largest is 100.

Structural model:
```
data_LiBr3F12
_symmetry_space_group_name_H-M 'P 63/m'
_symmetry_Int_Tables_number 176
_symmetry_space_group_name_Hall '-P 6c'
_cell_length_a 10.1164
_cell_length_b 10.1164
_cell_length_c 5.4433
_cell_angle_alpha 90.00
_cell_angle_beta 90.00
_cell_angle_gamma 120.00
loop_
_atom_site_label
_atom_site_fract_x
_atom_site_fract_y
_atom_site_fract_z
Li1 0.3333 0.6667 0.2500
Br1 0.0605 0.3494 0.7500
F1 0.0155 0.5026 0.7500
F2 0.0837 0.8767 0.7500
F3 0.2280 0.4658 0.0000
```

Peak list (10 most intense, 10 to 80 degrees two-theta, in order of rising 2θ)
| 2θ (°) | I (rel.) |
| --- | --- |
| 17.53 | 35 |
| 24.02 | 100 |
| 26.11 | 40 |
| 26.93 | 27 |
| 37.00 | 14 |
| 37.53 | 16 |
| 39.28 | 18 |
| 43.02 | 18 |
| 45.56 | 17 |
| 66.05 | 21 |